[1]
Simulated PXRD pattern of Cs12Sn2Sb6O for Cu Kα (λ = 1.5418 Å), from a DFT-relaxed cell (GGA-PBE, the Materials Project).

Main lines, by intensity (10 to 90 degrees two-theta):
two_theta	I/Imax	index
27.0	100	3 0 1
49.8	27	3 3 2
27.4	27	0 0 2
40.7	25	3 3 0
48.1	19	3 0 3
49.5	16	0 6 1
23.2	15	3 0 0
66.0	12	6 3 1
36.2	10	0 3 2
71.9	9	3 3 4
64.8	7	0 6 3
79.5	7	6 3 3

Cell and atoms:
```
data_Cs12Sn2Sb6O
_symmetry_space_group_name_H-M 'P -3 m 1'
_symmetry_Int_Tables_number 164
_symmetry_space_group_name_Hall '-P 3 2"'
_cell_length_a 13.2912
_cell_length_b 13.2912
_cell_length_c 6.5175
_cell_angle_alpha 90.00
_cell_angle_beta 90.00
_cell_angle_gamma 120.00
loop_
_atom_site_label
_atom_site_type_symbol
_atom_site_fract_x
_atom_site_fract_y
_atom_site_fract_z
Cs1 Cs 0.0929 0.5464 0.2505
Cs2 Cs 0.1148 0.2296 0.2284
Sn1 Sn 0.3333 0.6667 0.7507
Sb1 Sb 0.2126 0.4253 0.7500
O1 O 0.0000 0.0000 0.0000
```

---

[2]
Simulated PXRD pattern of CsUSbO6 for Cu Kα (λ = 1.5418 Å), from a DFT-relaxed cell (GGA-PBE, the Materials Project).

Main lines, by intensity (10 to 90 degrees two-theta):
two_theta	I/Imax	index
26.7	100	1 2 1
27.8	93	0 2 2
47.2	54	2 2 4
14.4	49	1 0 1
29.1	48	2 0 2
27.3	46	1 0 3
26.9	23	0 1 3
43.9	21	3 2 1
23.1	18	1 1 2
44.3	17	3 0 3
65.5	17	3 4 3
57.4	17	4 2 2

Cell and atoms:
```
data_CsUSbO6
_symmetry_space_group_name_H-M 'I m m a'
_symmetry_Int_Tables_number 74
_symmetry_space_group_name_Hall '-I 2b 2'
_cell_length_a 7.416
_cell_length_b 7.960
_cell_length_c 10.922
_cell_angle_alpha 90.00
_cell_angle_beta 90.00
_cell_angle_gamma 90.00
loop_
_atom_site_label
_atom_site_type_symbol
_atom_site_fract_x
_atom_site_fract_y
_atom_site_fract_z
Cs1 Cs 0.000 0.250 0.122
U1 U 0.000 0.000 0.500
Sb1 Sb 0.250 0.250 0.750
O1 O 0.000 0.250 0.432
O2 O 0.000 0.250 0.818
O3 O 0.194 0.069 0.626
```

---

[3]
Simulated PXRD pattern of Cs3ScO3 for Cu Kα (λ = 1.5418 Å), from a DFT-relaxed cell (GGA-PBE, the Materials Project).

Main lines, by intensity (10 to 90 degrees two-theta):
two_theta	I/Imax	index
28.3	100	0 4 0
28.4	67	0 2 2
27.1	59	2 2 0
33.0	52	2 2 -2
37.1	30	2 4 -1
25.7	29	1 1 -2
52.5	28	0 2 4
49.3	27	4 2 0
37.7	26	2 0 2
23.0	24	2 0 0
34.9	22	3 1 -1
50.2	19	3 5 -1

Cell and atoms:
```
data_Cs3ScO3
_symmetry_space_group_name_H-M 'C 1 2/m 1'
_symmetry_Int_Tables_number 12
_symmetry_space_group_name_Hall '-C 2y'
_cell_length_a 7.939
_cell_length_b 12.614
_cell_length_c 7.445
_cell_angle_alpha 90.00
_cell_angle_beta 103.11
_cell_angle_gamma 90.00
loop_
_atom_site_label
_atom_site_type_symbol
_atom_site_fract_x
_atom_site_fract_y
_atom_site_fract_z
Cs1 Cs 0.000 0.203 0.000
Cs2 Cs 0.000 0.261 0.500
Cs3 Cs 0.135 0.500 0.843
Sc1 Sc 0.165 0.000 0.647
O1 O 0.094 0.000 0.361
O2 O 0.213 0.371 0.238
```

---

[4]
Simulated PXRD pattern of Cs3ScO3 for Cu Kα (λ = 1.5418 Å), from a DFT-relaxed cell (GGA-PBE, the Materials Project).

Main lines, by intensity (10 to 90 degrees two-theta):
two_theta	I/Imax	index
29.9	100	1 4 -1
29.2	72	1 3 1
27.0	53	2 2 0
27.4	51	0 1 2
27.5	40	2 1 -2
24.0	36	1 3 -1
34.7	36	3 2 -1
22.3	35	2 1 -1
25.0	34	1 2 1
26.5	30	0 0 2
48.3	24	4 3 -1
24.4	23	2 1 0

Cell and atoms:
```
data_Cs3ScO3
_symmetry_space_group_name_H-M 'P 1 21/c 1'
_symmetry_Int_Tables_number 14
_symmetry_space_group_name_Hall '-P 2ybc'
_cell_length_a 8.435
_cell_length_b 13.392
_cell_length_c 7.465
_cell_angle_alpha 90.00
_cell_angle_beta 115.78
_cell_angle_gamma 90.00
loop_
_atom_site_label
_atom_site_type_symbol
_atom_site_fract_x
_atom_site_fract_y
_atom_site_fract_z
Cs1 Cs 0.011 0.160 0.429
Cs2 Cs 0.219 0.061 0.005
Cs3 Cs 0.428 0.691 0.631
Sc1 Sc 0.348 0.548 0.012
O1 O 0.154 0.614 0.785
O2 O 0.315 0.566 0.255
O3 O 0.410 0.095 0.460
```

---

[5]
Simulated PXRD pattern of Cs3ScO3 for Cu Kα (λ = 1.5418 Å), from a DFT-relaxed cell (GGA-PBE, the Materials Project).

Main lines, by intensity (10 to 90 degrees two-theta):
two_theta	I/Imax	index
27.8	100	1 2 1
32.5	28	0 1 4
26.8	20	1 1 -3
32.9	15	3 0 0
22.9	12	1 1 2
44.0	10	1 3 -3
35.2	9	3 1 -1
25.1	9	2 0 -2
41.2	7	3 2 -1
26.4	7	1 2 0
35.4	7	2 1 3
50.1	7	2 3 3

Cell and atoms:
```
data_Cs3ScO3
_symmetry_space_group_name_H-M 'P 1 21/c 1'
_symmetry_Int_Tables_number 14
_symmetry_space_group_name_Hall '-P 2ybc'
_cell_length_a 8.211
_cell_length_b 7.415
_cell_length_c 11.923
_cell_angle_alpha 90.00
_cell_angle_beta 96.29
_cell_angle_gamma 90.00
loop_
_atom_site_label
_atom_site_type_symbol
_atom_site_fract_x
_atom_site_fract_y
_atom_site_fract_z
Cs1 Cs 0.048 0.120 0.156
Cs2 Cs 0.349 0.168 0.927
Cs3 Cs 0.376 0.678 0.806
Sc1 Sc 0.151 0.581 0.065
O1 O 0.096 0.054 0.415
O2 O 0.241 0.674 0.542
O3 O 0.287 0.051 0.684
```

---

[6]
Simulated PXRD pattern of CsSe3O9 for Cu Kα (λ = 1.5418 Å), from a DFT-relaxed cell (GGA-PBE, the Materials Project).

Main lines, by intensity (10 to 90 degrees two-theta):
two_theta	I/Imax	index
24.6	100	0 2 2
26.2	66	2 2 0
21.0	64	2 0 -2
28.2	29	2 0 2
28.0	26	3 0 0
38.0	18	2 2 -4
33.1	17	0 0 4
33.8	17	3 2 -2
20.1	14	0 2 1
16.7	14	1 1 1
20.2	13	2 1 -1
41.1	12	3 2 2

Cell and atoms:
```
data_CsSe3O9
_symmetry_space_group_name_H-M 'P 1 21/c 1'
_symmetry_Int_Tables_number 14
_symmetry_space_group_name_Hall '-P 2ybc'
_cell_length_a 9.982
_cell_length_b 9.706
_cell_length_c 11.300
_cell_angle_alpha 90.00
_cell_angle_beta 106.63
_cell_angle_gamma 90.00
loop_
_atom_site_label
_atom_site_type_symbol
_atom_site_fract_x
_atom_site_fract_y
_atom_site_fract_z
Cs1 Cs 0.222 0.233 0.014
Se1 Se 0.087 0.539 0.800
Se2 Se 0.219 0.736 0.534
Se3 Se 0.471 0.048 0.786
O1 O 0.028 0.516 0.133
O2 O 0.041 0.670 0.704
O3 O 0.113 0.621 0.448
O4 O 0.189 0.077 0.265
O5 O 0.235 0.618 0.941
O6 O 0.328 0.127 0.793
O7 O 0.392 0.683 0.580
O8 O 0.484 0.568 0.840
O9 O 0.497 0.101 0.143
```

---

[7]
Simulated PXRD pattern of CsSeO4 for Cu Kα (λ = 1.5418 Å), from a DFT-relaxed cell (GGA-PBE, the Materials Project).

Main lines, by intensity (10 to 90 degrees two-theta):
two_theta	I/Imax	index
24.3	100	1 1 2
30.0	28	2 0 0
38.8	27	2 0 4
49.9	25	3 1 2
24.1	24	0 0 4
42.5	20	1 1 6
62.0	14	3 1 6
49.8	13	2 2 4
67.9	10	4 0 4
67.4	8	2 2 8
58.8	8	2 0 8
75.9	8	4 2 4

Cell and atoms:
```
data_CsSeO4
_symmetry_space_group_name_H-M 'I 41/a m d'
_symmetry_Int_Tables_number 141
_cell_length_a 5.960
_cell_length_b 5.960
_cell_length_c 14.773
_cell_angle_alpha 90.00
_cell_angle_beta 90.00
_cell_angle_gamma 90.00
loop_
_symmetry_equiv_pos_as_xyz
'x,y,z'
'-x,-y,-z'
'-y+1/4,x+3/4,z+1/4'
'y+1/4,-x+3/4,-z+1/4'
'-x+1/2,-y,z+1/2'
'x+1/2,y,-z+1/2'
'y+1/4,-x+1/4,z+3/4'
'-y+1/4,x+1/4,-z+3/4'
'x,-y,-z'
'-x,y,z'
'-y+1/4,-x+1/4,-z+3/4'
'y+1/4,x+1/4,z+3/4'
'-x+1/2,y,-z+1/2'
'x+1/2,-y,z+1/2'
'y+1/4,x+3/4,-z+1/4'
'-y+1/4,-x+3/4,z+1/4'
'x+1/2,y+1/2,z+1/2'
'-x+1/2,-y+1/2,-z+1/2'
'-y+3/4,x+1/4,z+3/4'
'y+3/4,-x+1/4,-z+3/4'
'-x,-y+1/2,z'
'x,y+1/2,-z'
'y+3/4,-x+3/4,z+1/4'
'-y+3/4,x+3/4,-z+1/4'
'x+1/2,-y+1/2,-z+1/2'
'-x+1/2,y+1/2,z+1/2'
'-y+3/4,-x+3/4,-z+1/4'
'y+3/4,x+3/4,z+1/4'
'-x,y+1/2,-z'
'x,-y+1/2,z'
'y+3/4,x+1/4,-z+3/4'
'-y+3/4,-x+1/4,z+3/4'
loop_
_atom_site_label
_atom_site_type_symbol
_atom_site_fract_x
_atom_site_fract_y
_atom_site_fract_z
Cs1 Cs 0.000 0.250 0.375
Se1 Se 0.000 0.250 0.875
O1 O 0.000 0.018 0.811
```

---

[8]
Simulated PXRD pattern of CsSeO4 for Cu Kα (λ = 1.5418 Å), from a DFT-relaxed cell (GGA-PBE, the Materials Project).

Main lines, by intensity (10 to 90 degrees two-theta):
two_theta	I/Imax	index
23.8	100	0 2 1
22.9	49	2 0 0
30.5	43	2 2 -1
24.7	42	0 0 2
28.2	35	2 0 -2
35.9	24	2 2 1
47.7	22	2 4 0
43.1	16	2 2 -3
41.3	13	0 4 0
30.3	11	1 0 2
42.9	11	0 2 3
50.7	9	2 4 -2

Cell and atoms:
```
data_CsSeO4
_symmetry_space_group_name_H-M 'P 1 21/c 1'
_symmetry_Int_Tables_number 14
_symmetry_space_group_name_Hall '-P 2ybc'
_cell_length_a 8.145
_cell_length_b 8.756
_cell_length_c 7.570
_cell_angle_alpha 90.00
_cell_angle_beta 107.66
_cell_angle_gamma 90.00
loop_
_atom_site_label
_atom_site_type_symbol
_atom_site_fract_x
_atom_site_fract_y
_atom_site_fract_z
Cs1 Cs 0.212 0.127 0.205
Se1 Se 0.259 0.637 0.218
O1 O 0.102 0.739 0.633
O2 O 0.191 0.020 0.799
O3 O 0.347 0.573 0.053
O4 O 0.429 0.719 0.380
```